# CuAs
Calculated X-ray powder pattern, Cu Kα X-rays. Input: a crystal structure in Alexandria, relaxed with GGA-PBE.

Atomic structure:
```
CuAs
1.0
3.009 0.000 0.000
0.000 3.009 0.000
0.000 0.000 7.451
Cu As
2 2
Cartesian
0.752 0.752 0.728 Cu
2.257 2.257 6.723 Cu
0.752 0.752 5.286 As
2.257 2.257 2.165 As
```

Peak list (10 most intense, 2θ from 5° to 70°, sorted by position)
11.9°, intensity 55, hkl 0 0 1; 23.9°, intensity 16, hkl 0 0 2; 32.1°, intensity 19, hkl 1 0 1; 38.5°, intensity 100, hkl 1 0 2; 42.5°, intensity 76, hkl 1 1 0; 44.3°, intensity 8, hkl 1 1 1; 47.5°, intensity 76, hkl 1 0 3; 49.3°, intensity 9, hkl 1 1 2; 61.7°, intensity 24, hkl 2 0 0; 62.3°, intensity 11, hkl 0 0 5


# Cd2AgAs2Pd5
Calculated X-ray powder pattern, Cu Kα X-rays. Input: a crystal structure in Alexandria, relaxed with GGA-PBE.

Atomic structure:
```
Cd2AgAs2Pd5
1.0
10.273 0.000 0.000
0.000 10.273 0.000
0.000 0.000 3.352
Cd Ag As Pd
4 2 4 10
Cartesian
1.822 3.315 0.000 Cd
3.315 8.451 0.000 Cd
6.958 1.822 0.000 Cd
8.451 6.958 0.000 Cd
0.000 0.000 0.000 Ag
5.136 5.136 0.000 Ag
1.390 6.526 0.000 As
3.747 1.390 0.000 As
6.526 8.883 0.000 As
8.883 3.747 0.000 As
0.000 5.136 1.676 Pd
0.226 8.069 1.676 Pd
2.204 0.226 1.676 Pd
2.933 5.362 1.676 Pd
4.911 2.933 1.676 Pd
5.136 0.000 1.676 Pd
5.362 7.340 1.676 Pd
7.340 4.911 1.676 Pd
8.069 10.047 1.676 Pd
10.047 2.204 1.676 Pd
```

Peak list (10 most intense, 2θ from 5° to 70°, sorted by position)
34.9°, intensity 15, hkl 4 0 0; 36.0°, intensity 23, hkl 4 1 0; 36.5°, intensity 53, hkl 2 2 1; 37.1°, intensity 37, hkl 3 3 0; 38.6°, intensity 100, hkl 3 1 1; 41.6°, intensity 14, hkl 3 2 1; 44.4°, intensity 38, hkl 4 0 1; 50.2°, intensity 18, hkl 4 4 0; 53.5°, intensity 13, hkl 6 0 0; 54.8°, intensity 19, hkl 0 0 2


# Cd3InHg
Calculated X-ray powder pattern, Cu Kα X-rays. Input: a crystal structure in Alexandria, relaxed with GGA-PBE.

Atomic structure:
```
Cd3InHg
1.0
5.084 0.000 0.000
0.000 6.569 0.000
-1.093 0.000 7.456
Cd In Hg
6 2 2
Cartesian
0.406 0.058 1.523 Cd
0.406 3.226 1.523 Cd
0.721 4.927 4.399 Cd
3.271 1.642 3.058 Cd
3.586 3.343 5.933 Cd
3.586 6.511 5.933 Cd
0.821 1.642 4.672 In
3.171 4.927 2.785 In
1.289 4.927 7.309 Hg
2.703 1.642 0.148 Hg
```

Peak list (10 most intense, 2θ from 5° to 70°, sorted by position)
31.9°, intensity 89, hkl 1 0 2; 32.6°, intensity 71, hkl 1 2 0; 33.8°, intensity 100, hkl 1 2 -1; 36.0°, intensity 66, hkl 2 0 -1; 36.5°, intensity 60, hkl 0 2 2; 38.0°, intensity 59, hkl 1 0 -3; 45.8°, intensity 35, hkl 0 2 3; 48.5°, intensity 36, hkl 2 2 1; 64.1°, intensity 23, hkl 3 2 -2; 68.4°, intensity 24, hkl 2 4 -1